Entry 1:
The following is a computed X-ray diffraction stick pattern of Os4W5. It was derived from a PBE-relaxed structure, using Cu Kα X-rays.
Lines closer than 0.1° are merged.

Most intense lines, 2θ = 15–90°, in order of rising 2θ:
39.5°, I 100
45.6°, I 33
46.5°, I 16
66.4°, I 11
67.2°, I 21
80.1°, I 25
81.5°, I 13
84.9°, I 11

Structure:
```
Os4W5
1.0
-4.224 4.224 1.952
4.224 -4.224 1.952
4.224 4.224 -1.952
Os W
4 5
direct
0.000 0.344 0.344 Os
0.000 0.656 0.656 Os
0.344 0.000 0.344 Os
0.656 0.000 0.656 Os
0.000 0.000 0.000 W
0.328 0.328 0.655 W
0.328 0.672 0.000 W
0.672 0.328 0.000 W
0.672 0.672 0.345 W
```


Entry 2:
The following is a computed X-ray diffraction stick pattern of MgGa2Au5. It was derived from a PBE-relaxed structure, using Cu Kα X-rays.
Lines closer than 0.1° are merged.

Most intense lines, 2θ = 15–90°, in order of rising 2θ:
24.5°, I 43
28.0°, I 55
28.1°, I 50
39.0°, I 41
39.2°, I 49
39.8°, I 87
40.4°, I 53
40.7°, I 100

Structure:
```
MgGa2Au5
1.0
4.532 0.000 0.000
0.000 16.025 0.000
-2.236 0.000 4.069
Mg Ga Au
2 4 10
direct
0.184 0.250 0.387 Mg
0.816 0.750 0.613 Mg
0.093 0.582 0.173 Ga
0.093 0.918 0.173 Ga
0.907 0.082 0.827 Ga
0.907 0.418 0.827 Ga
0.151 0.750 0.279 Au
0.235 0.065 0.476 Au
0.235 0.435 0.476 Au
0.467 0.658 0.915 Au
0.467 0.842 0.915 Au
0.533 0.158 0.085 Au
0.533 0.342 0.085 Au
0.765 0.565 0.524 Au
0.765 0.935 0.524 Au
0.849 0.250 0.721 Au
```


Entry 3:
The following is a computed X-ray diffraction stick pattern of CaTcSb2Te. It was derived from a PBE-relaxed structure, using Cu Kα X-rays.
Lines closer than 0.1° are merged.

Most intense lines, 2θ = 15–90°, in order of rising 2θ:
17.7°, I 59
28.9°, I 70
29.0°, I 100
34.1°, I 23
35.8°, I 78
46.7°, I 73
51.6°, I 27
60.2°, I 58

Structure:
```
CaTcSb2Te
1.0
5.014 0.000 0.000
0.000 5.014 0.000
0.000 0.000 6.178
Ca Tc Sb Te
1 1 2 1
direct
0.000 0.000 0.000 Ca
0.500 0.500 0.500 Tc
0.000 0.500 0.500 Sb
0.500 0.000 0.500 Sb
0.500 0.500 0.000 Te
```


Entry 4:
The following is a computed X-ray diffraction stick pattern of Hg2TeO5. It was derived from a PBE-relaxed structure, using Cu Kα X-rays.
Lines closer than 0.1° are merged.

Most intense lines, 2θ = 15–90°, in order of rising 2θ:
28.4°, I 100
29.4°, I 90
30.9°, I 33
33.1°, I 30
36.2°, I 24
45.9°, I 27
48.3°, I 18
57.4°, I 17

Structure:
```
Hg2TeO5
1.0
5.853 -2.890 0.000
5.853 2.890 0.000
-3.025 0.000 6.901
Hg Te O
4 2 10
direct
0.003 0.997 0.500 Hg
0.613 0.720 0.317 Hg
0.720 0.613 0.817 Hg
0.997 0.003 0.000 Hg
0.358 0.363 0.218 Te
0.363 0.358 0.718 Te
0.057 0.343 0.087 O
0.164 0.739 0.214 O
0.243 0.489 0.472 O
0.343 0.057 0.587 O
0.390 0.666 0.857 O
0.489 0.243 0.972 O
0.614 0.996 0.243 O
0.666 0.390 0.357 O
0.739 0.164 0.714 O
0.996 0.614 0.743 O
```